Entry 1:
# Cd2In2Pd4Au
Simulated XRD peak list, λ = 1.5418 Å (Cu Kα). Input: a cell relaxed with PBE.
No peak broadening, texture or thermal motion is included.

Structural model:
```
data_Cd2In2Pd4Au
_chemical_formula_sum 'Cd2 In2 Pd4 Au1'
_symmetry_space_group_name_H-M 'P 1'
_symmetry_Int_Tables_number 1
_symmetry_space_group_name_Hall 'P 1'
_cell_length_a 6.3468
_cell_length_b 6.3468
_cell_length_c 6.3468
_cell_angle_alpha 117.73
_cell_angle_beta 117.73
_cell_angle_gamma 93.98
loop_
_atom_site_label
_atom_site_type_symbol
_atom_site_fract_x
_atom_site_fract_y
_atom_site_fract_z
Cd1 Cd 0.2028 0.2028 0.0000
Cd2 Cd 0.7972 0.7972 0.0000
In1 In 0.2500 0.7500 0.5000
In2 In 0.7500 0.2500 0.5000
Pd1 Pd 0.2209 0.2209 0.4419
Pd2 Pd 0.2209 0.7791 0.0000
Pd3 Pd 0.7791 0.2209 0.0000
Pd4 Pd 0.7791 0.7791 0.5581
Au1 Au 0.5000 0.5000 0.0000
```

Main lines, sorted by position (5 to 70 degrees two-theta):
- 28.2°, I 27
- 34.3°, I 100
- 38.8°, I 96
- 41.7°, I 33
- 44.0°, I 51
- 52.5°, I 27
- 56.0°, I 29
- 58.3°, I 43

=====

Entry 2:
# RbLiBiSe2
Simulated XRD peak list, λ = 1.5418 Å (Cu Kα). Input: a cell relaxed with PBE.
No peak broadening, texture or thermal motion is included.

Structural model:
```
data_RbLiBiSe2
_chemical_formula_sum 'Rb2 Li2 Bi2 Se4'
_symmetry_space_group_name_H-M 'P 1'
_symmetry_Int_Tables_number 1
_symmetry_space_group_name_Hall 'P 1'
_cell_length_a 8.9340
_cell_length_b 8.0143
_cell_length_c 4.1348
_cell_angle_alpha 90.00
_cell_angle_beta 90.00
_cell_angle_gamma 90.00
loop_
_atom_site_label
_atom_site_type_symbol
_atom_site_fract_x
_atom_site_fract_y
_atom_site_fract_z
Rb1 Rb 0.2500 0.0000 0.0012
Rb2 Rb 0.7500 0.0000 0.9988
Li1 Li 0.0000 0.5000 0.0000
Li2 Li 0.5000 0.5000 0.0000
Bi1 Bi 0.2500 0.5000 0.5000
Bi2 Bi 0.7500 0.5000 0.5000
Se1 Se 0.0000 0.2602 0.5000
Se2 Se 0.0000 0.7398 0.5000
Se3 Se 0.5000 0.2602 0.5000
Se4 Se 0.5000 0.7398 0.5000
```

Main lines, sorted by position (5 to 70 degrees two-theta):
- 11.0°, I 43
- 21.5°, I 42
- 24.2°, I 75
- 30.0°, I 100
- 31.5°, I 73
- 37.2°, I 45
- 45.2°, I 55
- 54.0°, I 38

=====

Entry 3:
# Y2Cu3
Simulated XRD peak list, λ = 1.5418 Å (Cu Kα). Input: a cell relaxed with PBE.
No peak broadening, texture or thermal motion is included.

Structural model:
```
data_Y2Cu3
_chemical_formula_sum 'Y4 Cu6'
_symmetry_space_group_name_H-M 'P 1'
_symmetry_Int_Tables_number 1
_symmetry_space_group_name_Hall 'P 1'
_cell_length_a 12.8560
_cell_length_b 12.8560
_cell_length_c 4.2823
_cell_angle_alpha 90.00
_cell_angle_beta 90.00
_cell_angle_gamma 163.61
loop_
_atom_site_label
_atom_site_type_symbol
_atom_site_fract_x
_atom_site_fract_y
_atom_site_fract_z
Y1 Y 0.0709 0.9291 0.7500
Y2 Y 0.2037 0.7963 0.2500
Y3 Y 0.7963 0.2037 0.7500
Y4 Y 0.9291 0.0709 0.2500
Cu1 Cu 0.3292 0.6708 0.2500
Cu2 Cu 0.3826 0.6174 0.7500
Cu3 Cu 0.4773 0.5227 0.7500
Cu4 Cu 0.5227 0.4773 0.2500
Cu5 Cu 0.6174 0.3826 0.2500
Cu6 Cu 0.6708 0.3292 0.7500
```

Main lines, sorted by position (5 to 70 degrees two-theta):
- 33.9°, I 100
- 34.8°, I 58
- 36.8°, I 23
- 41.3°, I 48
- 42.2°, I 36
- 49.8°, I 22
- 55.8°, I 28
- 66.6°, I 21